(1)
PdCl2: theoretical powder XRD pattern (Cu Ka), based on a cell relaxed with PBE.
Neutral-atom scattering factors, no anomalous dispersion.

Top 6 peaks for 2θ = 10–90°, in order of rising 2θ:
hkl, d/Å, Rel. int.
0 0 2, 6.322, 100.0
0 2 0, 3.492, 37.8
0 2 1, 3.366, 44.8
1 1 3, 2.478, 71.5
1 1 5, 1.950, 33.0
1 3 4, 1.642, 21.8

Structure:
a b c (Å): 3.409 6.984 12.644
angles (deg): 90.00 90.00 90.00
Space group Pmn2_1 (No. 31)
Symmetry-distinct sites (fractional):
Pd 0.000 0.058 0.000
Pd 0.000 0.440 0.493
Cl 0.000 0.551 0.119
Cl 0.000 0.569 0.868
Cl 0.000 0.931 0.374
Cl 0.000 0.950 0.625


(2)
TbTlNiTe3: theoretical powder XRD pattern (Cu Ka), based on a cell relaxed with PBE.
Neutral-atom scattering factors, no anomalous dispersion.

Top 6 peaks for 2θ = 10–90°, in order of rising 2θ:
hkl, d/Å, Rel. int.
1 0 5, 3.222, 49.9
2 1 1, 3.088, 69.9
2 1 2, 2.950, 100.0
1 1 4, 2.916, 49.3
3 0 2, 2.817, 28.5
0 2 0, 2.204, 47.9

Structure:
a b c (Å): 8.940 4.408 17.269
angles (deg): 90.00 90.00 90.00
Space group Pnma (No. 62)
Symmetry-distinct sites (fractional):
Tb 0.227 0.250 0.046
Tl 0.082 0.750 0.291
Ni 0.129 0.750 0.865
Te 0.009 0.250 0.904
Te 0.128 0.250 0.447
Te 0.186 0.750 0.720


(3)
NdGePt2: theoretical powder XRD pattern (Cu Ka), based on a cell relaxed with PBE.
Neutral-atom scattering factors, no anomalous dispersion.

Top 6 peaks for 2θ = 10–90°, in order of rising 2θ:
hkl, d/Å, Rel. int.
0 1 1, 3.503, 37.7
2 0 -1, 2.688, 76.5
1 1 -2, 2.468, 35.2
1 1 2, 2.391, 100.0
2 1 -1, 2.229, 72.1
0 2 0, 1.999, 43.9

Structure:
a b c (Å): 5.661 3.998 7.282
angles (deg): 90.00 93.18 90.00
Space group P2_1/m (No. 11)
Symmetry-distinct sites (fractional):
Nd 0.167 0.250 0.203
Ge 0.385 0.250 0.680
Pt 0.197 0.750 0.511
Pt 0.344 0.750 0.913